The following is a calculated powder XRD pattern of Cs3H4Pd. It was derived from DFT lattice parameters and positions (GGA-PBE), using CuKα.
Intensities are scaled so that the largest is 100.

Atomic structure:
Unit cell a=6.2147 b=10.6510 c=5.8103 alpha=90.00 beta=90.00 gamma=90.00
Space group Imm2 (No. 44)
Unique sites:
Cs 0.0000 0.0000 0.0000 [2 per cell]
Cs 0.0000 0.2543 0.5109 [4 per cell]
H 0.0000 0.3387 0.0105 [4 per cell]
H 0.2268 0.0000 0.4953 [4 per cell]
Pd 0.0000 0.5000 0.0036 [2 per cell]

Largest 8 diffraction maxima, sorted by position, 2θ from 10° to 90°:
- hkl 1 2 1, 2θ = 26.86°, rel. 100.0
- hkl 2 0 0, 2θ = 28.73°, rel. 21.2
- hkl 0 0 2, 2θ = 30.78°, rel. 18.1
- hkl 0 4 0, 2θ = 33.66°, rel. 13.9
- hkl 2 0 2, 2θ = 42.60°, rel. 14.2
- hkl 3 2 1, 2θ = 49.77°, rel. 18.0
- hkl 1 2 3, 2θ = 52.38°, rel. 15.3
- hkl 2 4 2, 2θ = 55.36°, rel. 12.9